Record 1
CaLa3Sm4Se8: theoretical powder XRD pattern (a wavelength of 1.5418 Å), based on a GGA-PBE-relaxed structure.
Lines closer than 0.1° are merged.

The 10 most intense peaks (2θ from 15° to 90°), in order of rising 2θ:
2theta	I_rel
24.7	3
25.8	11
29.9	100
42.7	74
50.6	6
53.0	26
62.0	12
68.3	2
70.4	33
78.3	25

Structural model:
```
CaLa3Sm4Se8
1.0
4.232 2.443 6.910
-4.232 2.443 6.910
0.000 -4.887 6.910
Ca La Sm Se
1 3 4 8
direct
0.000 0.000 0.000
0.000 0.500 0.500
0.500 0.000 0.500
0.500 0.500 0.000
0.000 0.000 0.500
0.000 0.500 0.000
0.500 0.000 0.000
0.500 0.500 0.500
0.242 0.752 0.752
0.247 0.247 0.247
0.248 0.248 0.758
0.248 0.758 0.248
0.752 0.242 0.752
0.752 0.752 0.242
0.753 0.753 0.753
0.758 0.248 0.248
```



Record 2
Na3Ce2ErSe6: theoretical powder XRD pattern (a wavelength of 1.5418 Å), based on a GGA-PBE-relaxed structure.
Lines closer than 0.1° are merged.

The 10 most intense peaks (2θ from 15° to 90°), in order of rising 2θ:
2theta	I_rel
24.6	20
29.7	100
42.4	36
42.6	37
44.6	12
52.8	19
61.7	12
69.8	15
70.1	16
77.9	12

Structural model:
```
Na3Ce2ErSe6
1.0
3.674 -6.365 0.000
3.674 6.365 0.000
-2.453 0.000 6.972
Na Ce Er Se
3 2 1 6
direct
0.000 0.000 0.000
0.333 0.667 0.000
0.667 0.333 0.000
0.167 0.833 0.500
0.833 0.167 0.500
0.500 0.500 0.500
0.099 0.422 0.267
0.254 0.254 0.732
0.422 0.099 0.267
0.578 0.901 0.733
0.746 0.746 0.268
0.901 0.578 0.733
```